Entry 1:
DyMgAgBr6: theoretical XRD peak list (λ = 1.5418 Å (Cu Kα)), based on a PBE-relaxed structure.
Neutral-atom scattering factors, no anomalous dispersion.

Largest 6 diffraction maxima, by angle, 2θ = 15–90°:
| 2θ (°) | d [Å] | I_rel |
| --- | --- | --- |
| 16.2 | 5.473 | 23 |
| 20.1 | 4.412 | 59 |
| 29.1 | 3.069 | 100 |
| 38.0 | 2.370 | 83 |
| 45.0 | 2.014 | 53 |
| 49.8 | 1.832 | 22 |

Crystal structure
a = 6.9771 Å, b = 6.9771 Å, c = 12.9177 Å
α = 90.00°, β = 90.00°, γ = 120.00°
Space group P-31c (No. 163)
Unique sites:
1 Dy 0.3333 0.6667 0.2500 x2
2 Mg 0.3333 0.6667 0.7500 x2
3 Ag 0.0000 0.0000 0.0000 x2
4 Br 0.0116 0.3552 0.6289 x12

Entry 2:
Mg9Si5: theoretical XRD peak list (λ = 1.5418 Å (Cu Kα)), based on a PBE-relaxed structure.
Neutral-atom scattering factors, no anomalous dispersion.

Largest 6 diffraction maxima, by angle, 2θ = 15–90°:
| 2θ (°) | d [Å] | I_rel |
| --- | --- | --- |
| 34.2 | 2.624 | 60 |
| 35.3 | 2.545 | 100 |
| 36.6 | 2.453 | 61 |
| 39.2 | 2.298 | 65 |
| 41.8 | 2.162 | 54 |
| 43.6 | 2.078 | 65 |

Crystal structure
a = 5.842 Å, b = 7.411 Å, c = 14.085 Å
α = 95.03°, β = 98.38°, γ = 109.58°
Space group P1 (No. 1)
Unique sites:
1 Mg 0.000 0.000 0.000 x1
2 Mg 0.004 0.759 0.464 x1
3 Mg 0.039 0.316 0.166 x1
4 Mg 0.053 0.000 0.286 x1
5 Mg 0.080 0.434 0.618 x1
6 Mg 0.151 0.023 0.654 x1
7 Mg 0.167 0.735 0.122 x1
8 Mg 0.247 0.441 0.411 x1
9 Mg 0.359 0.395 0.826 x1
10 Mg 0.418 0.752 0.951 x1
11 Mg 0.431 0.136 0.492 x1
12 Mg 0.525 0.851 0.325 x1
13 Mg 0.552 0.841 0.589 x1
14 Mg 0.588 0.210 0.999 x1
15 Mg 0.599 0.555 0.140 x1
16 Mg 0.687 0.328 0.343 x1
17 Mg 0.781 0.123 0.799 x1
18 Mg 0.822 0.694 0.783 x1
19 Si 0.038 0.621 0.286 x1
20 Si 0.075 0.398 0.977 x1
21 Si 0.244 0.009 0.845 x1
22 Si 0.356 0.760 0.755 x1
23 Si 0.398 0.149 0.167 x1
24 Si 0.593 0.336 0.675 x1
25 Si 0.654 0.954 0.138 x1
26 Si 0.660 0.525 0.544 x1
27 Si 0.798 0.587 0.969 x1
28 Si 0.905 0.102 0.460 x1